No. 1
This entry pairs a crystal structure of Sc3InSn3 with its calculated powder diffractogram. Radiation: Cu Kα. Structure: a DFT-relaxed cell (GGA-PBE, Alexandria).

Lattice parameters (Å, degrees): 8.365 8.365 5.467 90.00 90.00 120.00
Fractional positions:
Sc (0.094, 0.452, 0.250)
Sc (0.358, 0.906, 0.250)
Sc (0.452, 0.358, 0.750)
Sc (0.548, 0.642, 0.250)
Sc (0.642, 0.094, 0.750)
Sc (0.906, 0.548, 0.750)
In (0.333, 0.667, 0.750)
In (0.667, 0.333, 0.250)
Sn (0.051, 0.257, 0.750)
Sn (0.206, 0.949, 0.750)
Sn (0.257, 0.206, 0.250)
Sn (0.743, 0.794, 0.750)
Sn (0.794, 0.051, 0.250)
Sn (0.949, 0.743, 0.250)

Most intense lines, 10 to 80 degrees two-theta, in order of rising 2θ:
d_spacing  Position (°2θ)  intensity
4.364  20.35  12
3.622  24.58  10
3.322  26.84  10
2.735  32.74  55
2.448  36.71  100
1.934  46.97  17
1.581  58.37  15
1.517  61.08  25
1.369  68.57  21
1.328  70.97  15



No. 2
This entry pairs a crystal structure of NaLaNdSe3 with its calculated powder diffractogram. Radiation: Cu Kα. Structure: a DFT-relaxed cell (GGA-PBE, Alexandria).

Lattice parameters (Å, degrees): 8.693 4.211 9.353 90.00 104.36 90.00
Fractional positions:
Na (0.097, 0.250, 0.085)
Na (0.903, 0.750, 0.915)
La (0.196, 0.250, 0.722)
La (0.804, 0.750, 0.278)
Nd (0.337, 0.750, 0.346)
Nd (0.663, 0.250, 0.654)
Se (0.092, 0.250, 0.377)
Se (0.245, 0.750, 0.986)
Se (0.431, 0.750, 0.673)
Se (0.569, 0.250, 0.327)
Se (0.755, 0.250, 0.014)
Se (0.908, 0.750, 0.623)

Most intense lines, 10 to 80 degrees two-theta, in order of rising 2θ:
d_spacing  Position (°2θ)  intensity
3.020  29.58  63
2.988  29.90  100
2.978  30.01  92
2.495  35.99  31
2.335  38.56  41
2.309  39.00  38
2.173  41.56  35
2.106  42.95  39
1.727  53.02  24
1.512  61.31  23



No. 3
This entry pairs a crystal structure of Pm4Y4Er with its calculated powder diffractogram. Radiation: Cu Kα. Structure: a DFT-relaxed cell (GGA-PBE, Alexandria).

Lattice parameters (Å, degrees): 8.052 8.052 8.052 95.73 95.73 143.17
Fractional positions:
Pm (0.000, 0.332, 0.332)
Pm (0.000, 0.668, 0.668)
Pm (0.332, 0.000, 0.332)
Pm (0.668, 0.000, 0.668)
Y (0.334, 0.334, 0.669)
Y (0.334, 0.666, 0.000)
Y (0.666, 0.334, 0.000)
Y (0.666, 0.666, 0.331)
Er (0.000, 0.000, 0.000)

Most intense lines, 10 to 80 degrees two-theta, in order of rising 2θ:
d_spacing  Position (°2θ)  intensity
5.402  16.41  3
4.603  19.28  4
3.417  26.08  2
2.940  30.41  100
2.582  34.74  2
2.546  35.25  50
1.800  50.71  36
1.535  60.29  42
1.470  63.27  12
1.273  74.55  6



No. 4
This entry pairs a crystal structure of La2ZnIn12 with its calculated powder diffractogram. Radiation: Cu Kα. Structure: a DFT-relaxed cell (GGA-PBE, Alexandria).

Lattice parameters (Å, degrees): 6.929 6.929 17.139 90.00 90.00 90.00
Fractional positions:
La (0.250, 0.750, 0.244)
La (0.250, 0.750, 0.756)
La (0.750, 0.250, 0.244)
La (0.750, 0.250, 0.756)
Zn (0.250, 0.750, 0.000)
Zn (0.750, 0.250, 0.000)
In (0.001, 0.501, 0.088)
In (0.001, 0.999, 0.912)
In (0.086, 0.586, 0.572)
In (0.086, 0.914, 0.428)
In (0.250, 0.250, 0.183)
In (0.250, 0.250, 0.344)
In (0.250, 0.250, 0.656)
In (0.250, 0.250, 0.817)
In (0.414, 0.586, 0.428)
In (0.414, 0.914, 0.572)
In (0.499, 0.501, 0.912)
In (0.499, 0.999, 0.088)
In (0.501, 0.001, 0.912)
In (0.501, 0.499, 0.088)
In (0.586, 0.086, 0.428)
In (0.586, 0.414, 0.572)
In (0.750, 0.750, 0.183)
In (0.750, 0.750, 0.344)
In (0.750, 0.750, 0.656)
In (0.750, 0.750, 0.817)
In (0.914, 0.086, 0.572)
In (0.914, 0.414, 0.428)
In (0.999, 0.001, 0.088)
In (0.999, 0.499, 0.912)

Most intense lines, 10 to 80 degrees two-theta, in order of rising 2θ:
d_spacing  Position (°2θ)  intensity
3.225  27.66  40
3.212  27.77  100
2.724  32.88  24
2.694  33.26  23
2.468  36.41  39
2.450  36.68  73
2.437  36.89  25
2.204  40.95  42
1.951  46.55  26
1.532  60.43  21



No. 5
This entry pairs a crystal structure of LiAc4S5 with its calculated powder diffractogram. Radiation: Cu Kα. Structure: a DFT-relaxed cell (GGA-PBE, Alexandria).

Lattice parameters (Å, degrees): 17.042 17.042 17.042 14.48 14.48 14.48
Fractional positions:
Li (0.000, 0.000, 0.000)
Ac (0.201, 0.201, 0.201)
Ac (0.395, 0.395, 0.395)
Ac (0.605, 0.605, 0.605)
Ac (0.799, 0.799, 0.799)
S (0.097, 0.097, 0.097)
S (0.304, 0.304, 0.304)
S (0.500, 0.500, 0.500)
S (0.696, 0.696, 0.696)
S (0.903, 0.903, 0.903)

Most intense lines, 10 to 80 degrees two-theta, in order of rising 2θ:
d_spacing  Position (°2θ)  intensity
3.491  25.51  69
3.372  26.43  19
3.307  26.96  15
2.997  29.81  100
2.324  38.75  14
2.148  42.07  41
2.091  43.26  30
1.811  50.37  22
1.746  52.42  21
1.355  69.38  18



No. 6
This entry pairs a crystal structure of Ac8HgRu2 with its calculated powder diffractogram. Radiation: Cu Kα. Structure: a DFT-relaxed cell (GGA-PBE, Alexandria).

Lattice parameters (Å, degrees): 8.601 8.601 7.447 96.17 96.17 126.35
Fractional positions:
Ac (0.000, 0.000, 0.000)
Ac (0.047, 0.472, 0.160)
Ac (0.200, 0.897, 0.591)
Ac (0.439, 0.687, 0.772)
Ac (0.472, 0.047, 0.160)
Ac (0.634, 0.634, 0.288)
Ac (0.687, 0.439, 0.772)
Ac (0.897, 0.200, 0.591)
Hg (0.272, 0.272, 0.421)
Ru (0.114, 0.712, 0.889)
Ru (0.712, 0.114, 0.889)

Most intense lines, 10 to 80 degrees two-theta, in order of rising 2θ:
d_spacing  Position (°2θ)  intensity
3.517  25.32  54
3.458  25.76  67
3.390  26.29  100
3.352  26.59  43
3.058  29.21  49
2.952  30.28  32
2.939  30.41  37
2.842  31.48  41
2.673  33.52  43
1.769  51.66  33